Starting from a DFT-relaxed cell (PBE, OQMD), the powder diffractogram of LaSmSi2I2 was simulated for λ = 1.5418 Å (Cu Kα).

Atomic structure:
```
LaSmSi2I2
1.0
4.199 0.000 0.000
-2.099 3.636 0.000
0.000 0.000 12.649
La Sm Si I
1 1 2 2
Direct
0.000 0.000 0.000
0.000 0.000 0.684
0.333 0.667 0.843
0.667 0.333 0.832
0.333 0.667 0.519
0.667 0.333 0.174
```

Largest 10 diffraction maxima, by angle, 15° ≤ 2θ ≤ 90°:
2θ (°), I/Imax, (hkl)
25.49, 69.6, 1 0 1
28.29, 36.2, 1 0 2
32.52, 100.0, 1 0 3
37.70, 24.1, 0 1 4
42.90, 13.1, 0 0 6
43.09, 42.3, 1 1 0
52.33, 12.4, 0 2 2
55.00, 22.2, 0 2 3
62.43, 25.5, 1 1 6
72.31, 19.5, 2 1 3